Starting from a structure optimized by DFT (GGA+U), the powder diffraction line list of La4Ni3O8 was computed for Cu Ka.
No peak broadening, texture or thermal motion is included.

Structure:
Unit cell a=3.9997 b=3.9997 c=25.9853 alpha=90.00 beta=90.00 gamma=90.00
Space group I4/mmm (No. 139)
Asymmetric unit:
La (0.0000, 0.0000, 0.0662) x4
La (0.0000, 0.0000, 0.2011) x4
Ni (0.0000, 0.0000, 0.3750) x4
Ni (0.0000, 0.0000, 0.5000) x2
O (0.0000, 0.5000, 0.0000) x4
O (0.0000, 0.5000, 0.1253) x8
O (0.0000, 0.5000, 0.2500) x4

Principal peaks in the range 2θ from 10° to 80°, low angle first:
hkl 1 0 1, 2θ = 22.5°, I 19
hkl 1 0 5, 2θ = 28.2°, I 10
hkl 1 1 0, 2θ = 31.6°, I 48
hkl 1 0 7, 2θ = 32.9°, I 100
hkl 1 0 9, 2θ = 38.5°, I 12
hkl 1 1 8, 2θ = 42.4°, I 20
hkl 2 0 0, 2θ = 45.3°, I 36
hkl 2 1 7, 2θ = 57.2°, I 40
hkl 1 1 14, 2θ = 59.6°, I 7
hkl 2 2 0, 2θ = 66.1°, I 11
hkl 3 1 0, 2θ = 75.1°, I 9
hkl 3 0 7, 2θ = 75.8°, I 9